AgBiSO: computed powder diffractogram (Cu Kα, 1.54184 Å), based on a DFT-relaxed cell (PBE, OQMD).
Peak positions follow from Bragg's law for the DFT cell and can differ from measured ones.

Principal peaks in the range 15 to 90 degrees two-theta, most intense first:
2θ (°), I (rel.), index
25.7, 100, 1 1 -2
25.5, 80, 1 1 1
30.7, 56, 1 1 2
45.2, 42, 2 2 -1
31.5, 38, 0 2 0
31.0, 29, 1 1 -3
41.0, 26, 0 2 3
32.7, 22, 0 2 1
55.9, 18, 1 3 -3
37.7, 17, 1 1 -4

Crystal structure
Cell lengths 5.683, 5.668, 10.825 Å; angles 90.00, 104.41, 90.00 degrees
Space group P2_1 (No. 4)
One atom of each set of equivalent atoms:
Ag: 0.032 0.000 0.152 x2
Ag: 0.364 0.221 0.018 x2
Bi: 0.060 0.799 0.617 x2
Bi: 0.465 0.804 0.378 x2
S: 0.226 0.210 0.792 x2
S: 0.377 0.258 0.239 x2
O: 0.242 0.529 0.502 x2
O: 0.248 0.037 0.501 x2